Entry 1:
For Li2TiFeO4, a PBE+U-relaxed structure gives the calculated X-ray diffraction stick pattern in this record (Cu Kα (λ = 1.5418 Å)).

Principal peaks in the range 5 to 70 degrees two-theta, most intense first:
index  2θ/deg  I_rel
1 1 2  23.85  100.0
0 2 -2  40.02  32.1
-2 1 1  44.11  26.6
2 3 3  44.26  26.3
1 -2 1  37.10  19.1
2 1 -3  61.07  15.2
2 5 1  61.18  15.1
1 -1 4  55.71  11.4
3 0 1  50.73  11.0
2 2 0  36.81  8.2

Structure:
a = 5.8099 Å, b = 7.8801 Å, c = 7.8815 Å
α = 69.74°, β = 68.51°, γ = 68.50°
Space group P1 (No. 1)
Symmetry-distinct sites (fractional):
Li: 0.0000 0.0000 0.0000
Li: 0.1213 0.3764 0.8769
Li: 0.2502 0.2518 0.2501
Li: 0.3738 0.6254 0.1259
Li: 0.4970 0.5021 0.4990
Li: 0.6236 0.8742 0.3745
Li: 0.7462 0.7503 0.7503
Li: 0.8745 0.1249 0.6252
Ti: 0.1226 0.8768 0.3746
Ti: 0.3722 0.1266 0.6247
Ti: 0.6235 0.3756 0.8741
Ti: 0.8726 0.6262 0.1245
Fe: 0.2451 0.7505 0.7496
Fe: 0.5001 0.0047 0.9967
Fe: 0.7523 0.2471 0.2530
Fe: 0.9960 0.4986 0.5032
O: 0.1203 0.6578 0.5900
O: 0.1354 0.0889 0.1552
O: 0.2463 0.5010 0.0003
O: 0.2466 0.0002 0.4999
O: 0.3731 0.3398 0.4117
O: 0.3744 0.9088 0.8368
O: 0.4993 0.7495 0.2510
O: 0.4997 0.2504 0.7513
O: 0.6177 0.5933 0.6624
O: 0.6267 0.1636 0.0950
O: 0.7499 0.5014 0.0003
O: 0.7515 0.0010 0.4987
O: 0.8678 0.8437 0.9088
O: 0.8730 0.4087 0.3425
O: 0.9970 0.2505 0.7507
O: 0.9976 0.7512 0.2495

***

Entry 2:
For Zn2CoSbO6, a PBE+U-relaxed structure gives the calculated X-ray diffraction stick pattern in this record (Cu Kα (λ = 1.5418 Å)).

Principal peaks in the range 5 to 70 degrees two-theta, most intense first:
index  2θ/deg  I_rel
1 2 1  33.43  100.0
0 0 2  33.97  46.8
0 4 2  59.41  22.8
3 2 1  60.49  22.4
3 2 -1  60.39  21.0
0 4 0  47.20  13.5
2 0 2  48.88  11.5
1 0 0  16.80  10.2
2 0 -2  48.72  10.0
1 2 0  28.69  6.6

Structure:
a = 5.2775 Å, b = 7.7029 Å, c = 5.2801 Å
α = 90.00°, β = 90.18°, γ = 90.00°
Space group P2_1/m (No. 11)
Symmetry-distinct sites (fractional):
Zn: 0.0121 0.2500 0.4512
Zn: 0.4779 0.7500 0.0181
Co: 0.0000 0.0000 0.0000
Sb: 0.5000 0.0000 0.5000
O: 0.1085 0.7500 0.9166
O: 0.1799 0.0652 0.6746
O: 0.3304 0.0665 0.1751
O: 0.3692 0.7500 0.4193

***

Entry 3:
For Mg14CoNiO16, a PBE+U-relaxed structure gives the calculated X-ray diffraction stick pattern in this record (Cu Kα (λ = 1.5418 Å)).

Principal peaks in the range 5 to 70 degrees two-theta, most intense first:
index  2θ/deg  I_rel
4 0 0  42.45  100.0
4 0 2  61.80  55.9
0 0 2  42.72  49.0
4 4 0  61.60  28.2
2 2 1  36.62  28.2
1 1 0  14.71  14.5
2 2 0  29.73  8.6
1 1 1  25.72  7.9
2 0 0  20.86  6.9
3 1 1  39.66  5.4

Structure:
a = 8.5171 Å, b = 8.5171 Å, c = 4.2331 Å
α = 90.00°, β = 90.00°, γ = 90.00°
Space group P4/mmm (No. 123)
Symmetry-distinct sites (fractional):
Mg: 0.0000 0.2489 0.0000
Mg: 0.0000 0.5000 0.5000
Mg: 0.2494 0.5000 0.0000
Mg: 0.2500 0.2500 0.5000
Co: 0.5000 0.5000 0.5000
Ni: 0.0000 0.0000 0.5000
O: 0.0000 0.0000 0.0000
O: 0.0000 0.2505 0.5000
O: 0.0000 0.5000 0.0000
O: 0.2466 0.5000 0.5000
O: 0.2502 0.2502 0.0000
O: 0.5000 0.5000 0.0000